# Pm3Cu3Au2
Simulated X-ray powder pattern, Cu Kα (weighted mean of Kα1 and Kα2). Input: a DFT-relaxed cell (PBE, Alexandria).
Kinematic intensities with the Lorentz-polarization factor, no thermal factor.

Principal peaks in the range 10 to 90 degrees two-theta, by angle:
Position (°2θ), d (Å), I_rel
32.63, 2.744, 100.0
32.96, 2.717, 64.9
34.63, 2.591, 22.8
36.32, 2.474, 36.2
37.26, 2.413, 75.9
38.43, 2.342, 31.1
40.70, 2.217, 58.7
40.90, 2.207, 57.5

Crystal structure
abc: 5.758 5.758 14.843
angles: 90.00 90.00 134.93
Sites, in units of the cell vectors:
Pm  0.092  0.908  0.601
Pm  0.092  0.908  0.899
Pm  0.366  0.634  0.750
Pm  0.634  0.366  0.250
Pm  0.908  0.092  0.101
Pm  0.908  0.092  0.399
Cu  0.353  0.647  0.250
Cu  0.397  0.603  0.539
Cu  0.397  0.603  0.961
Cu  0.603  0.397  0.039
Cu  0.603  0.397  0.461
Cu  0.647  0.353  0.750
Au  0.202  0.798  0.105
Au  0.202  0.798  0.395
Au  0.798  0.202  0.605
Au  0.798  0.202  0.895